Calculated powder diffraction line list
Compound: Nd4Pu2Bi3N2
Radiation: λ = 1.5418 Å (Cu Kα)
Structure: a structure optimized by DFT (GGA-PBE)

Atomic structure:
Lattice parameters (Å, degrees): 4.885 4.885 26.142 90.00 90.00 90.00
Space group I4/mmm (No. 139)
Inequivalent atoms, fractional coordinates:
Nd1 0.000 0.500 0.086 x8
Pu1 0.000 0.000 0.191 x4
Bi1 0.000 0.000 0.319 x4
Bi2 0.000 0.000 0.500 x2
N1 0.000 0.000 0.108 x4

Top 10 peaks for 2θ from 10° to 80°, sorted by position:
| 2theta | I (rel.) |
| --- | --- |
| 26.69 | 40 |
| 27.29 | 15 |
| 29.24 | 16 |
| 33.09 | 100 |
| 34.30 | 15 |
| 36.80 | 55 |
| 51.18 | 20 |
| 53.02 | 19 |
| 62.93 | 16 |
| 63.94 | 31 |